[1]
Simulated X-ray diffraction stick pattern
Compound: K2Cu2SnSe6
Radiation: Cu Kα, 1.54184 Å
Structure: a GGA-PBE-relaxed structure

Peak list (10 most intense, 15° ≤ 2θ ≤ 90°, by angle)
Position (°2θ)  I_rel  h k l
15.56  81  2 0 0
17.52  100  1 1 -1
26.21  62  0 2 1
27.15  50  2 2 0
28.81  79  1 1 -2
31.41  64  4 0 0
32.90  57  2 2 1
35.46  61  2 2 -2
44.86  60  4 2 1
52.76  53  6 2 -2

Crystal structure
Cell lengths 12.022, 8.041, 6.723 Å; angles 90.00, 108.62, 90.00 degrees
Space group C2/m (No. 12)
One atom of each set of equivalent atoms:
K1 0.240 0.000 0.186 [4 per cell]
Cu1 0.054 0.500 0.226 [4 per cell]
Sn1 0.000 0.000 0.500 [2 per cell]
Se1 0.037 0.239 0.842 [8 per cell]
Se2 0.235 0.000 0.673 [4 per cell]

[2]
Simulated X-ray diffraction stick pattern
Compound: KCuTeSe2
Radiation: Cu Kα, 1.54184 Å
Structure: a GGA-PBE-relaxed structure

Peak list (10 most intense, 15° ≤ 2θ ≤ 90°, by angle)
Position (°2θ)  I_rel  h k l
19.83  31  2 0 0
22.05  28  0 2 1
27.31  66  1 3 1
29.80  50  2 2 1
30.14  24  2 4 0
35.82  100  2 4 1
39.65  41  2 6 0
40.09  31  0 2 2
40.29  34  4 0 0
44.27  34  2 6 1

Crystal structure
Cell lengths 8.954, 15.832, 4.694 Å; angles 90.00, 90.00, 90.00 degrees
Space group Cmme (No. 67)
One atom of each set of equivalent atoms:
K1 0.000 0.250 0.175 [4 per cell]
Cu1 0.000 0.000 0.000 [4 per cell]
Te1 0.250 0.000 0.500 [4 per cell]
Se1 0.000 0.107 0.665 [8 per cell]

[3]
Simulated X-ray diffraction stick pattern
Compound: K2TiCuSe4
Radiation: Cu Kα, 1.54184 Å
Structure: a GGA-PBE-relaxed structure

Peak list (10 most intense, 15° ≤ 2θ ≤ 90°, by angle)
Position (°2θ)  I_rel  h k l
24.69  20  1 1 5
25.50  20  0 2 6
27.31  100  1 3 3
29.20  21  0 0 8
31.04  63  1 3 5
38.07  36  2 0 6
39.71  23  0 4 8
41.64  35  2 4 2
48.69  29  2 0 10
51.26  27  2 6 0

Crystal structure
Cell lengths 5.802, 13.553, 24.463 Å; angles 90.00, 90.00, 90.00 degrees
Space group Fddd (No. 70, origin choice 2)
One atom of each set of equivalent atoms:
K1 0.125 0.125 0.304 [16 per cell]
Ti1 0.125 0.125 0.125 [8 per cell]
Cu1 0.125 0.125 0.625 [8 per cell]
Se1 0.120 0.273 0.430 [32 per cell]

[4]
Simulated X-ray diffraction stick pattern
Compound: KU3Cu4Se12
Radiation: Cu Kα, 1.54184 Å
Structure: a GGA-PBE-relaxed structure

Peak list (10 most intense, 15° ≤ 2θ ≤ 90°, by angle)
Position (°2θ)  I_rel  h k l
16.66  24  0 2 1
20.72  69  2 1 1
22.65  87  2 0 2
31.27  100  3 1 2
40.19  22  5 0 2
41.10  33  5 1 1
42.64  34  4 1 3
44.43  38  1 3 4
45.19  24  5 2 0
54.39  29  0 7 2

Crystal structure
Cell lengths 14.4694, 14.4694, 10.0717 Å; angles 90.00, 90.00, 120.00 degrees
Space group R32 (No. 155, hexagonal axes)
One atom of each set of equivalent atoms:
K1 0.0000 0.0000 0.0000 [3 per cell]
U1 0.0000 0.5620 0.0000 [9 per cell]
Cu1 0.0000 0.0000 0.5000 [3 per cell]
Cu2 0.0000 0.4338 0.5000 [9 per cell]
Se1 0.0000 0.5969 0.5000 [9 per cell]
Se2 0.0000 0.8395 0.5000 [9 per cell]
Se3 0.0581 0.2302 0.1868 [18 per cell]

[5]
Simulated X-ray diffraction stick pattern
Compound: KVCu2Se4
Radiation: Cu Kα, 1.54184 Å
Structure: a GGA-PBE-relaxed structure

Peak list (10 most intense, 15° ≤ 2θ ≤ 90°, by angle)
Position (°2θ)  I_rel  h k l
28.46  100  2 1 1
28.49  90  0 5 1
44.27  82  2 4 2
47.09  27  4 0 0
48.20  21  0 10 0
49.51  34  2 6 2
52.24  25  2 9 1
54.73  26  0 5 3
55.96  26  4 5 1
85.55  21  4 0 4

Crystal structure
Cell lengths 7.720, 18.876, 5.615 Å; angles 90.00, 90.00, 90.00 degrees
Space group Ama2 (No. 40)
One atom of each set of equivalent atoms:
K1 0.250 0.186 0.000 [4 per cell]
V1 0.250 0.393 0.734 [4 per cell]
Cu1 0.000 0.000 0.249 [4 per cell]
Cu2 0.250 0.392 0.233 [4 per cell]
Se1 0.001 0.391 0.972 [8 per cell]
Se2 0.250 0.292 0.501 [4 per cell]
Se3 0.250 0.495 0.489 [4 per cell]

[6]
Simulated X-ray diffraction stick pattern
Compound: K2Y4Cu4Se9
Radiation: Cu Kα, 1.54184 Å
Structure: a GGA-PBE-relaxed structure

Peak list (10 most intense, 15° ≤ 2θ ≤ 90°, by angle)
Position (°2θ)  I_rel  h k l
27.21  48  2 0 -5
28.57  91  0 0 5
28.98  97  3 1 -2
29.30  55  3 1 0
30.51  59  3 1 -3
31.13  95  3 1 1
38.14  53  5 1 -2
42.27  76  6 0 1
43.88  100  0 2 0
44.65  62  3 1 -7

Crystal structure
Cell lengths 14.374, 4.126, 16.540 Å; angles 90.00, 109.31, 90.00 degrees
Space group C2/m (No. 12)
One atom of each set of equivalent atoms:
K1 0.033 0.000 0.269 [4 per cell]
Y1 0.155 0.500 0.556 [4 per cell]
Y2 0.232 0.000 0.103 [4 per cell]
Cu1 0.075 0.500 0.972 [4 per cell]
Cu2 0.240 0.000 0.729 [4 per cell]
Se1 0.000 0.000 0.500 [2 per cell]
Se2 0.107 0.500 0.130 [4 per cell]
Se3 0.135 0.000 0.922 [4 per cell]
Se4 0.145 0.500 0.723 [4 per cell]
Se5 0.200 0.500 0.396 [4 per cell]

[7]
Simulated X-ray diffraction stick pattern
Compound: K2YbCu2Se4
Radiation: Cu Kα, 1.54184 Å
Structure: a GGA-PBE-relaxed structure

Peak list (10 most intense, 15° ≤ 2θ ≤ 90°, by angle)
Position (°2θ)  I_rel  h k l
24.86  38  1 -1 1
28.76  36  1 1 -1
30.90  44  0 2 1
31.68  100  1 -1 2
33.38  60  1 1 -2
33.67  43  -1 2 1
36.83  29  1 -3 1
41.74  53  -1 2 2
44.95  41  2 -1 0
51.87  41  1 1 3

Crystal structure
Cell lengths 4.033, 7.933, 7.939 Å; angles 108.99, 90.04, 104.68 degrees
Space group P-1 (No. 2)
One atom of each set of equivalent atoms:
K1 0.129 0.258 0.052 [2 per cell]
Yb1 0.000 0.000 0.500 [1 per cell]
Cu1 0.327 0.649 0.521 [2 per cell]
Se1 0.204 0.410 0.670 [2 per cell]
Se2 0.477 0.954 0.742 [2 per cell]

[8]
Simulated X-ray diffraction stick pattern
Compound: K4CuSi
Radiation: Cu Kα, 1.54184 Å
Structure: a GGA-PBE-relaxed structure

Peak list (10 most intense, 15° ≤ 2θ ≤ 90°, by angle)
Position (°2θ)  I_rel  h k l
26.24  31  2 2 0
30.88  100  3 1 1
32.29  35  2 2 2
46.31  13  4 2 2
49.30  32  5 1 1
54.01  26  4 4 0
63.51  10  5 3 3
64.34  11  6 2 2
76.12  18  5 5 3
88.07  9  5 5 5

Crystal structure
Cell lengths 9.605, 9.605, 9.605 Å; angles 90.00, 90.00, 90.00 degrees
Space group F-43m (No. 216)
One atom of each set of equivalent atoms:
K1 0.125 0.125 0.125 [16 per cell]
Cu1 0.000 0.000 0.500 [4 per cell]
Si1 0.250 0.250 0.750 [4 per cell]

[9]
Simulated X-ray diffraction stick pattern
Compound: K2Cu2Si
Radiation: Cu Kα, 1.54184 Å
Structure: a GGA-PBE-relaxed structure

Peak list (10 most intense, 15° ≤ 2θ ≤ 90°, by angle)
Position (°2θ)  I_rel  h k l
17.61  42  0 0 6
24.79  90  1 0 1
26.55  89  0 0 9
32.29  30  1 0 7
34.32  79  0 1 8
35.65  36  0 0 12
43.32  100  1 1 0
44.29  68  1 1 3
51.53  77  1 1 9
57.31  49  1 1 12

Crystal structure
Cell lengths 4.1769, 4.1769, 30.2187 Å; angles 90.00, 90.00, 120.00 degrees
Space group R-3m (No. 166, hexagonal axes)
One atom of each set of equivalent atoms:
K1 0.0000 0.0000 0.0715 [6 per cell]
Cu1 0.0000 0.0000 0.1749 [6 per cell]
Si1 0.0000 0.0000 0.5000 [3 per cell]

[10]
Simulated X-ray diffraction stick pattern
Compound: K2CuSn6
Radiation: Cu Kα, 1.54184 Å
Structure: a GGA-PBE-relaxed structure

Peak list (10 most intense, 15° ≤ 2θ ≤ 90°, by angle)
Position (°2θ)  I_rel  h k l
28.26  12  0 0 2
29.43  14  1 1 1
29.81  17  2 0 0
33.09  100  2 0 1
41.54  33  0 2 2
52.92  23  2 2 0
63.85  15  0 4 1
66.99  11  2 0 4
70.44  12  2 2 3
87.50  14  4 2 1

Crystal structure
Cell lengths 6.9206, 6.9206, 6.3161 Å; angles 90.00, 90.00, 120.00 degrees
Space group P-3m1 (No. 164)
One atom of each set of equivalent atoms:
K1 0.3333 0.6667 0.1562 [2 per cell]
Cu1 0.0000 0.0000 0.0000 [1 per cell]
Sn1 0.1626 0.3252 0.6860 [6 per cell]

[11]
Simulated X-ray diffraction stick pattern
Compound: KCuTc
Radiation: Cu Kα, 1.54184 Å
Structure: a GGA-PBE-relaxed structure

Peak list (10 most intense, 15° ≤ 2θ ≤ 90°, by angle)
Position (°2θ)  I_rel  h k l
29.09  55  0 0 4
30.81  68  0 1 3
41.08  100  1 1 0
43.74  37  1 1 2
44.01  29  0 2 0
51.11  52  1 1 4
53.62  18  0 2 4
57.07  24  0 1 7
64.02  17  1 0 7
80.98  24  1 2 7

Crystal structure
Cell lengths 2.601, 4.115, 12.280 Å; angles 90.00, 90.00, 90.00 degrees
Space group Imm2 (No. 44)
One atom of each set of equivalent atoms:
K1 0.000 0.000 0.000 [2 per cell]
Cu1 0.000 0.000 0.713 [2 per cell]
Tc1 0.000 0.000 0.276 [2 per cell]

[12]
Simulated X-ray diffraction stick pattern
Compound: KCuTe2
Radiation: Cu Kα, 1.54184 Å
Structure: a GGA-PBE-relaxed structure

Peak list (10 most intense, 15° ≤ 2θ ≤ 90°, by angle)
Position (°2θ)  I_rel  h k l
20.88  23  0 0 3
24.73  64  1 0 2
29.33  45  1 0 3
29.81  47  1 1 1
32.24  100  1 1 2
40.69  78  1 1 4
41.42  61  2 0 0
52.24  29  1 1 6
73.55  24  2 0 8
75.04  25  3 1 4

Crystal structure
Cell lengths 4.360, 4.360, 12.764 Å; angles 90.00, 90.00, 90.00 degrees
Space group P4/nmm (No. 129, origin choice 2)
One atom of each set of equivalent atoms:
K1 0.250 0.250 0.239 [2 per cell]
Cu1 0.250 0.750 0.500 [2 per cell]
Te1 0.250 0.250 0.621 [2 per cell]
Te2 0.250 0.750 0.000 [2 per cell]